(1)
Calculated XRD peak list of BaDyAgTe3 for λ = 1.5418 Å (Cu Kα), from the GGA-PBE geometry in Alexandria.

Atomic structure:
```
data_BaDyAgTe3
_symmetry_space_group_name_H-M 'P 1 21/m 1'
_symmetry_Int_Tables_number 11
_cell_length_a 9.2597
_cell_length_b 4.5195
_cell_length_c 10.1696
_cell_angle_alpha 90.00
_cell_angle_beta 105.35
_cell_angle_gamma 90.00
loop_
_symmetry_equiv_pos_as_xyz
'x,y,z'
'-x,-y,-z'
'-x,y+1/2,-z'
'x,-y+1/2,z'
loop_
_atom_site_label
_atom_site_type_symbol
_atom_site_fract_x
_atom_site_fract_y
_atom_site_fract_z
Ba1 Ba 0.1982 0.2500 0.2506
Dy1 Dy 0.3225 0.7500 0.8396
Ag1 Ag 0.0811 0.2500 0.5870
Te1 Te 0.1040 0.2500 0.8725
Te2 Te 0.2480 0.7500 0.5271
Te3 Te 0.4457 0.7500 0.1569
```

Main lines, by angle (2θ from 10° to 90°):
h k l  2θ/deg  I/Imax
1 0 -1  11.5  54
0 0 3  27.3  48
2 1 -1  27.8  86
2 1 0  28.1  100
1 0 3  31.5  26
1 1 -3  33.2  49
4 0 -1  38.9  32
0 2 0  39.9  47
2 1 -4  42.1  34
3 1 2  44.4  31

(2)
Calculated XRD peak list of BaErAg2O4 for λ = 1.5418 Å (Cu Kα), from the GGA-PBE geometry in Alexandria.

Atomic structure:
```
data_BaErAg2O4
_symmetry_space_group_name_H-M 'I 2 2 2'
_symmetry_Int_Tables_number 23
_cell_length_a 5.9839
_cell_length_b 6.1846
_cell_length_c 7.2695
_cell_angle_alpha 90.00
_cell_angle_beta 90.00
_cell_angle_gamma 90.00
loop_
_symmetry_equiv_pos_as_xyz
'x,y,z'
'-x,-y,z'
'x,-y,-z'
'-x,y,-z'
'x+1/2,y+1/2,z+1/2'
'-x+1/2,-y+1/2,z+1/2'
'x+1/2,-y+1/2,-z+1/2'
'-x+1/2,y+1/2,-z+1/2'
loop_
_atom_site_label
_atom_site_type_symbol
_atom_site_fract_x
_atom_site_fract_y
_atom_site_fract_z
Ba1 Ba 0.0000 0.0000 0.0000
Er1 Er 0.0000 0.0000 0.5000
Ag1 Ag 0.0000 0.5000 0.2105
O1 O 0.2018 0.1939 0.3171
```

Main lines, by angle (2θ from 10° to 90°):
h k l  2θ/deg  I/Imax
0 1 1  18.8  8
0 2 0  28.9  30
2 0 0  29.9  27
1 1 2  32.2  100
2 2 0  42.0  31
0 0 4  50.2  10
1 3 2  53.3  25
3 1 2  54.5  23
2 2 4  67.5  8
3 3 2  70.6  9